# Pu2PaPt
Calculated PXRD pattern, Cu Kα (λ = 1.5418 Å). Input: a crystal structure in Alexandria, relaxed with GGA-PBE.
Peak positions follow from Bragg's law for the DFT cell and can differ from measured ones.

Largest 8 diffraction maxima, by angle, 2θ = 10–90°:
| 2θ/deg | d (Å) | I_rel | hkl |
| --- | --- | --- | --- |
| 34.48 | 2.601 | 39 | 0 2 0 |
| 34.83 | 2.576 | 100 | 0 1 2 |
| 37.76 | 2.382 | 45 | 2 1 -1 |
| 38.99 | 2.310 | 7 | 2 1 1 |
| 49.80 | 1.831 | 23 | 2 2 1 |
| 60.46 | 1.531 | 12 | 2 1 3 |
| 62.01 | 1.497 | 14 | 0 3 2 |
| 63.95 | 1.456 | 10 | 2 3 -1 |

```
Pu2PaPt
1.0
5.8702 0.0000 0.0000
0.0000 5.2020 0.0000
-0.2884 0.0000 5.9251
Pu Pa Pt
4 2 2
Direct
0.0477 0.2500 0.3755
0.4418 0.7500 0.6282
0.5582 0.2500 0.3718
0.9523 0.7500 0.6245
0.2545 0.2500 0.9152
0.7455 0.7500 0.0848
0.2465 0.7500 0.1522
0.7535 0.2500 0.8478
```